For CaH8Cl2O4, a structure optimized by DFT (GGA-PBE) gives the simulated powder diffraction line list in this record (Cu Kα (λ = 1.5418 Å)).
Kinematic intensities with the Lorentz-polarization factor, no thermal factor.

Principal peaks in the range 2θ from 10° to 80°, by angle:
| d [Å] | 2θ (°) | I_rel |
| --- | --- | --- |
| 5.766 | 15.37 | 38.0 |
| 4.643 | 19.12 | 44.6 |
| 4.154 | 21.39 | 28.8 |
| 4.115 | 21.59 | 24.4 |
| 3.275 | 27.23 | 100.0 |
| 2.864 | 31.23 | 27.8 |
| 2.317 | 38.87 | 44.8 |
| 2.219 | 40.65 | 28.1 |

a b c (Å): 6.072 8.009 8.879
angles (deg): 90.00 110.64 90.00
Element x y z (fractional)
Ca  0.000  0.000  0.000
Ca  0.000  0.500  0.500
H  0.093  0.070  0.689
H  0.093  0.430  0.189
H  0.100  0.070  0.356
H  0.100  0.430  0.856
H  0.429  0.712  0.520
H  0.429  0.788  0.020
H  0.434  0.692  0.696
H  0.434  0.808  0.196
H  0.566  0.192  0.804
H  0.566  0.308  0.304
H  0.571  0.212  0.980
H  0.571  0.288  0.480
H  0.900  0.570  0.144
H  0.900  0.930  0.644
H  0.907  0.570  0.811
H  0.907  0.930  0.311
Cl  0.290  0.221  0.570
Cl  0.290  0.279  0.070
Cl  0.710  0.721  0.930
Cl  0.710  0.779  0.430
O  0.004  0.501  0.766
O  0.004  0.999  0.266
O  0.331  0.676  0.583
O  0.331  0.824  0.083
O  0.669  0.176  0.917
O  0.669  0.324  0.417
O  0.996  0.001  0.734
O  0.996  0.499  0.234

---

For EuB4Ru4, a structure optimized by DFT (GGA-PBE) gives the simulated powder diffraction line list in this record (Cu Kα (λ = 1.5418 Å)).
Kinematic intensities with the Lorentz-polarization factor, no thermal factor.

Principal peaks in the range 2θ from 10° to 80°, by angle:
| d [Å] | 2θ (°) | I_rel |
| --- | --- | --- |
| 2.802 | 31.94 | 61.7 |
| 2.671 | 33.55 | 20.0 |
| 2.283 | 39.47 | 43.4 |
| 2.271 | 39.69 | 100.0 |
| 2.253 | 40.02 | 37.6 |
| 1.452 | 64.13 | 12.9 |
| 1.449 | 64.28 | 13.8 |
| 1.335 | 70.52 | 26.1 |

a b c (Å): 9.263 9.263 9.263
angles (deg): 132.05 132.05 70.15
Element x y z (fractional)
Eu  0.125  0.375  0.750
Eu  0.375  0.125  0.250
Eu  0.625  0.875  0.750
Eu  0.875  0.625  0.250
B  0.066  0.124  0.277
B  0.124  0.347  0.058
B  0.153  0.376  0.442
B  0.211  0.934  0.558
B  0.289  0.847  0.723
B  0.347  0.789  0.223
B  0.376  0.434  0.223
B  0.434  0.711  0.058
B  0.566  0.289  0.942
B  0.624  0.566  0.777
B  0.653  0.211  0.777
B  0.711  0.153  0.277
B  0.789  0.066  0.442
B  0.847  0.624  0.558
B  0.876  0.653  0.942
B  0.934  0.876  0.723
Ru  0.039  0.822  0.987
Ru  0.052  0.039  0.718
Ru  0.166  0.678  0.718
Ru  0.178  0.666  0.218
Ru  0.322  0.539  0.487
Ru  0.334  0.052  0.513
Ru  0.448  0.166  0.987
Ru  0.461  0.448  0.782
Ru  0.539  0.552  0.218
Ru  0.552  0.834  0.013
Ru  0.666  0.948  0.487
Ru  0.678  0.461  0.513
Ru  0.822  0.334  0.782
Ru  0.834  0.322  0.282
Ru  0.948  0.961  0.282
Ru  0.961  0.178  0.013

---

For Be2Ag3Au5, a structure optimized by DFT (GGA-PBE) gives the simulated powder diffraction line list in this record (Cu Kα (λ = 1.5418 Å)).
Kinematic intensities with the Lorentz-polarization factor, no thermal factor.

Principal peaks in the range 2θ from 10° to 80°, by angle:
| d [Å] | 2θ (°) | I_rel |
| --- | --- | --- |
| 3.576 | 24.90 | 38.0 |
| 2.747 | 32.59 | 56.4 |
| 2.662 | 33.67 | 27.2 |
| 2.328 | 38.68 | 60.6 |
| 2.314 | 38.92 | 100.0 |
| 2.146 | 42.10 | 34.0 |
| 2.135 | 42.33 | 39.7 |
| 1.269 | 74.82 | 29.2 |

a b c (Å): 9.598 9.598 3.576
angles (deg): 90.00 90.00 90.00
Element x y z (fractional)
Be  0.126  0.374  0.000
Be  0.374  0.874  0.000
Be  0.626  0.126  0.000
Be  0.874  0.626  0.000
Ag  0.000  0.000  0.000
Ag  0.174  0.674  0.000
Ag  0.326  0.174  0.000
Ag  0.500  0.500  0.000
Ag  0.674  0.826  0.000
Ag  0.826  0.326  0.000
Au  0.000  0.500  0.500
Au  0.075  0.211  0.500
Au  0.211  0.925  0.500
Au  0.289  0.425  0.500
Au  0.425  0.711  0.500
Au  0.500  0.000  0.500
Au  0.575  0.289  0.500
Au  0.711  0.575  0.500
Au  0.789  0.075  0.500
Au  0.925  0.789  0.500

---

For NdIn4Au, a structure optimized by DFT (GGA-PBE) gives the simulated powder diffraction line list in this record (Cu Kα (λ = 1.5418 Å)).
Kinematic intensities with the Lorentz-polarization factor, no thermal factor.

Principal peaks in the range 2θ from 10° to 80°, by angle:
| d [Å] | 2θ (°) | I_rel |
| --- | --- | --- |
| 3.022 | 29.56 | 32.3 |
| 2.840 | 31.50 | 89.4 |
| 2.617 | 34.27 | 100.0 |
| 2.471 | 36.36 | 32.7 |
| 2.443 | 36.79 | 34.1 |
| 2.405 | 37.39 | 69.6 |
| 2.374 | 37.89 | 83.3 |
| 2.239 | 40.27 | 32.4 |

a b c (Å): 10.869 10.869 6.307
angles (deg): 90.00 90.00 154.43
Element x y z (fractional)
Nd  0.136  0.864  0.500
Nd  0.864  0.136  0.000
In  0.073  0.927  0.020
In  0.265  0.735  0.156
In  0.314  0.686  0.651
In  0.467  0.533  0.844
In  0.533  0.467  0.344
In  0.686  0.314  0.151
In  0.735  0.265  0.656
In  0.927  0.073  0.520
Au  0.399  0.601  0.278
Au  0.601  0.399  0.778

---

For Pm12SmSc6, a structure optimized by DFT (GGA-PBE) gives the simulated powder diffraction line list in this record (Cu Kα (λ = 1.5418 Å)).
Kinematic intensities with the Lorentz-polarization factor, no thermal factor.

Principal peaks in the range 2θ from 10° to 80°, by angle:
| d [Å] | 2θ (°) | I_rel |
| --- | --- | --- |
| 4.295 | 20.68 | 22.8 |
| 3.290 | 27.10 | 26.0 |
| 3.067 | 29.12 | 42.1 |
| 2.736 | 32.73 | 100.0 |
| 2.631 | 34.08 | 58.9 |
| 2.473 | 36.33 | 30.1 |
| 1.727 | 53.02 | 20.6 |
| 1.440 | 64.76 | 21.8 |

a b c (Å): 9.019 9.019 9.019
angles (deg): 106.78 106.78 106.78
Element x y z (fractional)
Pm  0.136  0.280  0.828
Pm  0.172  0.864  0.720
Pm  0.197  0.476  0.568
Pm  0.280  0.828  0.136
Pm  0.432  0.803  0.524
Pm  0.476  0.568  0.197
Pm  0.524  0.432  0.803
Pm  0.568  0.197  0.476
Pm  0.720  0.172  0.864
Pm  0.803  0.524  0.432
Pm  0.828  0.136  0.280
Pm  0.864  0.720  0.172
Sm  0.000  0.000  0.000
Sc  0.071  0.465  0.187
Sc  0.187  0.071  0.465
Sc  0.465  0.187  0.071
Sc  0.535  0.813  0.929
Sc  0.813  0.929  0.535
Sc  0.929  0.535  0.813

---

For Na2In9Cu3, a structure optimized by DFT (GGA-PBE) gives the simulated powder diffraction line list in this record (Cu Kα (λ = 1.5418 Å)).
Kinematic intensities with the Lorentz-polarization factor, no thermal factor.

Principal peaks in the range 2θ from 10° to 80°, by angle:
| d [Å] | 2θ (°) | I_rel |
| --- | --- | --- |
| 5.332 | 16.63 | 26.7 |
| 3.878 | 22.94 | 27.8 |
| 2.704 | 33.13 | 47.9 |
| 2.700 | 33.18 | 100.0 |
| 2.406 | 37.38 | 71.4 |
| 2.399 | 37.49 | 37.5 |
| 2.243 | 40.20 | 39.8 |
| 2.192 | 41.19 | 54.1 |

a b c (Å): 8.317 8.317 11.678
angles (deg): 110.77 110.77 60.20
Element x y z (fractional)
Na  0.076  0.252  0.250
Na  0.252  0.076  0.750
Na  0.748  0.924  0.250
Na  0.924  0.748  0.750
In  0.014  0.867  0.072
In  0.133  0.986  0.428
In  0.177  0.357  0.577
In  0.188  0.584  0.253
In  0.302  0.477  0.938
In  0.357  0.177  0.077
In  0.371  0.629  0.750
In  0.416  0.812  0.247
In  0.477  0.302  0.438
In  0.523  0.698  0.562
In  0.584  0.188  0.753
In  0.629  0.371  0.250
In  0.643  0.823  0.923
In  0.698  0.523  0.062
In  0.812  0.416  0.747
In  0.823  0.643  0.423
In  0.867  0.014  0.572
In  0.986  0.133  0.928
Cu  0.000  0.500  0.000
Cu  0.173  0.665  0.504
Cu  0.335  0.827  0.996
Cu  0.500  0.000  0.500
Cu  0.665  0.173  0.004
Cu  0.827  0.335  0.496

---

For Na2UInCl6, a structure optimized by DFT (GGA-PBE) gives the simulated powder diffraction line list in this record (Cu Kα (λ = 1.5418 Å)).
Kinematic intensities with the Lorentz-polarization factor, no thermal factor.

Principal peaks in the range 2θ from 10° to 80°, by angle:
| d [Å] | 2θ (°) | I_rel |
| --- | --- | --- |
| 5.337 | 16.61 | 100.0 |
| 3.902 | 22.79 | 59.6 |
| 3.658 | 24.33 | 36.8 |
| 3.200 | 27.88 | 27.9 |
| 3.017 | 29.61 | 28.7 |
| 2.451 | 36.67 | 59.2 |
| 2.156 | 41.91 | 29.8 |
| 2.112 | 42.83 | 34.1 |

a b c (Å): 7.839 7.839 7.839
angles (deg): 55.63 55.63 55.63
Element x y z (fractional)
Na  0.000  0.000  0.000
Na  0.487  0.487  0.487
U  0.801  0.801  0.801
In  0.285  0.285  0.285
Cl  0.072  0.408  0.722
Cl  0.200  0.844  0.635
Cl  0.408  0.722  0.072
Cl  0.635  0.200  0.844
Cl  0.722  0.072  0.408
Cl  0.844  0.635  0.200

---

For FeTc2Sb4, a structure optimized by DFT (GGA-PBE) gives the simulated powder diffraction line list in this record (Cu Kα (λ = 1.5418 Å)).
Kinematic intensities with the Lorentz-polarization factor, no thermal factor.

Principal peaks in the range 2θ from 10° to 80°, by angle:
| d [Å] | 2θ (°) | I_rel |
| --- | --- | --- |
| 2.958 | 30.21 | 100.0 |
| 2.747 | 32.60 | 90.3 |
| 2.734 | 32.76 | 77.6 |
| 2.275 | 39.61 | 58.5 |
| 2.175 | 41.53 | 50.1 |
| 2.168 | 41.66 | 58.5 |
| 1.887 | 48.23 | 38.0 |
| 1.874 | 48.58 | 35.8 |

a b c (Å): 7.057 7.057 7.544
angles (deg): 102.59 102.59 121.80
Element x y z (fractional)
Fe  0.133  0.867  0.500
Fe  0.867  0.133  0.000
Tc  0.167  0.910  0.101
Tc  0.425  0.680  0.597
Tc  0.680  0.425  0.097
Tc  0.910  0.167  0.601
Sb  0.098  0.649  0.743
Sb  0.148  0.583  0.232
Sb  0.184  0.205  0.392
Sb  0.205  0.184  0.892
Sb  0.583  0.148  0.732
Sb  0.649  0.098  0.243
Sb  0.685  0.699  0.913
Sb  0.699  0.685  0.413

---

For RbMgS2, a structure optimized by DFT (GGA-PBE) gives the simulated powder diffraction line list in this record (Cu Kα (λ = 1.5418 Å)).
Kinematic intensities with the Lorentz-polarization factor, no thermal factor.

Principal peaks in the range 2θ from 10° to 80°, by angle:
| d [Å] | 2θ (°) | I_rel |
| --- | --- | --- |
| 3.801 | 23.40 | 52.6 |
| 3.652 | 24.37 | 100.0 |
| 2.965 | 30.14 | 28.9 |
| 2.611 | 34.34 | 37.0 |
| 2.317 | 38.86 | 28.5 |
| 2.132 | 42.39 | 22.1 |
| 1.826 | 49.95 | 32.9 |
| 1.818 | 50.17 | 26.7 |

a b c (Å): 8.531 8.531 8.531
angles (deg): 139.32 139.32 58.89
Element x y z (fractional)
Rb  0.375  0.625  0.750
Rb  0.625  0.375  0.250
Mg  0.125  0.875  0.250
Mg  0.875  0.125  0.750
S  0.000  0.000  0.000
S  0.000  0.000  0.500
S  0.000  0.500  0.000
S  0.500  0.000  0.500

---

For Ac3Pr3Er2, a structure optimized by DFT (GGA-PBE) gives the simulated powder diffraction line list in this record (Cu Kα (λ = 1.5418 Å)).
Kinematic intensities with the Lorentz-polarization factor, no thermal factor.

Principal peaks in the range 2θ from 10° to 80°, by angle:
| d [Å] | 2θ (°) | I_rel |
| --- | --- | --- |
| 3.093 | 28.86 | 57.9 |
| 2.931 | 30.50 | 100.0 |
| 2.187 | 41.28 | 22.3 |
| 1.974 | 45.98 | 8.1 |
| 1.753 | 52.18 | 45.4 |
| 1.664 | 55.20 | 18.9 |
| 1.465 | 63.49 | 12.5 |
| 1.368 | 68.61 | 10.0 |

a b c (Å): 6.179 6.194 7.895
angles (deg): 90.00 90.00 90.00
Element x y z (fractional)
Ac  0.000  0.000  0.000
Ac  0.000  0.000  0.500
Ac  0.500  0.500  0.000
Pr  0.500  0.000  0.258
Pr  0.500  0.000  0.742
Pr  0.500  0.500  0.500
Er  0.000  0.500  0.258
Er  0.000  0.500  0.742

---

For La2CdCu9, a structure optimized by DFT (GGA-PBE) gives the simulated powder diffraction line list in this record (Cu Kα (λ = 1.5418 Å)).
Kinematic intensities with the Lorentz-polarization factor, no thermal factor.

Principal peaks in the range 2θ from 10° to 80°, by angle:
| d [Å] | 2θ (°) | I_rel |
| --- | --- | --- |
| 2.823 | 31.69 | 39.7 |
| 2.594 | 34.58 | 41.5 |
| 2.585 | 34.71 | 45.0 |
| 2.230 | 40.45 | 38.2 |
| 2.207 | 40.89 | 100.0 |
| 2.049 | 44.20 | 23.8 |
| 1.493 | 62.16 | 22.8 |
| 1.292 | 73.24 | 22.6 |

a b c (Å): 8.996 8.996 8.996
angles (deg): 33.39 33.39 33.39
Element x y z (fractional)
La  0.136  0.136  0.136
La  0.864  0.864  0.864
Cd  0.000  0.000  0.000
Cu  0.080  0.578  0.578
Cu  0.332  0.332  0.332
Cu  0.422  0.422  0.920
Cu  0.422  0.920  0.422
Cu  0.500  0.500  0.500
Cu  0.578  0.080  0.578
Cu  0.578  0.578  0.080
Cu  0.668  0.668  0.668
Cu  0.920  0.422  0.422